Entry 1:
Theoretical XRD peak list of BaSr2IrO5 for copper Kα, from a GGA-PBE-relaxed structure.
No peak broadening, texture or thermal motion is included.

Principal peaks in the range 10 to 90 degrees two-theta, in order of rising 2θ:
5.989 Å, 14.79°, rel. 21.2
5.409 Å, 16.39°, rel. 15.6
3.031 Å, 29.47°, rel. 26.9
2.994 Å, 29.84°, rel. 18.6
2.872 Å, 31.14°, rel. 100.0
2.130 Å, 42.43°, rel. 25.7
1.718 Å, 53.34°, rel. 22.3
1.436 Å, 64.95°, rel. 13.8

Atomic structure:
```
data_BaSr2IrO5
_cell_length_a 6.9879
_cell_length_b 6.9879
_cell_length_c 6.9879
_cell_angle_alpha 147.70
_cell_angle_beta 128.59
_cell_angle_gamma 62.03
_symmetry_space_group_name_H-M 'P 1'
_symmetry_Int_Tables_number 1
loop_
_symmetry_equiv_pos_as_xyz
'x,y,z'
loop_
_atom_site_label
_atom_site_type_symbol
_atom_site_fract_x
_atom_site_fract_y
_atom_site_fract_z
Ba1 Ba 0.0000 0.0000 0.0000
Sr1 Sr 0.2862 0.7862 0.5000
Sr2 Sr 0.7138 0.2138 0.5000
Ir1 Ir 0.5000 0.5000 0.0000
O1 O 0.1363 0.3718 0.7645
O2 O 0.3927 0.6282 0.7645
O3 O 0.5000 0.0000 0.5000
O4 O 0.6073 0.3718 0.2355
O5 O 0.8637 0.6282 0.2355
```

=====

Entry 2:
Theoretical XRD peak list of BaTb2IrO5 for copper Kα, from a GGA-PBE-relaxed structure.
No peak broadening, texture or thermal motion is included.

Principal peaks in the range 10 to 90 degrees two-theta, in order of rising 2θ:
5.135 Å, 17.27°, rel. 16.5
2.889 Å, 30.95°, rel. 26.5
2.867 Å, 31.19°, rel. 100.0
2.045 Å, 44.29°, rel. 14.7
2.011 Å, 45.09°, rel. 16.3
1.664 Å, 55.20°, rel. 20.7
1.291 Å, 73.33°, rel. 14.7
1.091 Å, 89.90°, rel. 14.6

Atomic structure:
```
data_BaTb2IrO5
_cell_length_a 6.6248
_cell_length_b 6.6248
_cell_length_c 6.6248
_cell_angle_alpha 144.04
_cell_angle_beta 128.29
_cell_angle_gamma 64.59
_symmetry_space_group_name_H-M 'P 1'
_symmetry_Int_Tables_number 1
loop_
_symmetry_equiv_pos_as_xyz
'x,y,z'
loop_
_atom_site_label
_atom_site_type_symbol
_atom_site_fract_x
_atom_site_fract_y
_atom_site_fract_z
Ba1 Ba 0.0000 0.0000 0.0000
Tb1 Tb 0.2920 0.7920 0.5000
Tb2 Tb 0.7080 0.2080 0.5000
Ir1 Ir 0.5000 0.5000 0.0000
O1 O 0.1205 0.3545 0.7660
O2 O 0.4114 0.6455 0.7660
O3 O 0.5000 0.0000 0.5000
O4 O 0.5886 0.3545 0.2340
O5 O 0.8795 0.6455 0.2340
```

=====

Entry 3:
Theoretical XRD peak list of BaThIrO6 for copper Kα, from a GGA-PBE-relaxed structure.
No peak broadening, texture or thermal motion is included.

Principal peaks in the range 10 to 90 degrees two-theta, in order of rising 2θ:
6.071 Å, 14.59°, rel. 50.3
3.207 Å, 27.82°, rel. 100.0
3.128 Å, 28.53°, rel. 75.7
3.054 Å, 29.25°, rel. 45.6
3.034 Å, 29.44°, rel. 84.9
2.948 Å, 30.32°, rel. 89.6
2.011 Å, 45.09°, rel. 33.2
1.815 Å, 50.28°, rel. 68.0

Atomic structure:
```
data_BaThIrO6
_cell_length_a 7.2730
_cell_length_b 7.2730
_cell_length_c 7.2730
_cell_angle_alpha 119.75
_cell_angle_beta 116.60
_cell_angle_gamma 93.21
_symmetry_space_group_name_H-M 'P 1'
_symmetry_Int_Tables_number 1
loop_
_symmetry_equiv_pos_as_xyz
'x,y,z'
loop_
_atom_site_label
_atom_site_type_symbol
_atom_site_fract_x
_atom_site_fract_y
_atom_site_fract_z
Ba1 Ba 0.3391 0.0891 0.2500
Ba2 Ba 0.6609 0.9109 0.7500
Th1 Th 0.0000 0.5000 0.5000
Th2 Th 0.5000 0.5000 0.0000
Ir1 Ir 0.0000 0.0000 0.5000
Ir2 Ir 0.0000 0.5000 0.0000
O1 O 0.0458 0.3261 0.1373
O2 O 0.0458 0.9085 0.7197
O3 O 0.0809 0.3309 0.7500
O4 O 0.3111 0.0915 0.6373
O5 O 0.3111 0.6739 0.2197
O6 O 0.3706 0.6206 0.7500
O7 O 0.6294 0.3794 0.2500
O8 O 0.6889 0.3261 0.7803
O9 O 0.6889 0.9085 0.3627
O10 O 0.9191 0.6691 0.2500
O11 O 0.9542 0.0915 0.2803
O12 O 0.9542 0.6739 0.8627
```

=====

Entry 4:
Theoretical XRD peak list of Ba3TmIr2O9 for copper Kα, from a GGA-PBE-relaxed structure.
No peak broadening, texture or thermal motion is included.

Principal peaks in the range 10 to 90 degrees two-theta, in order of rising 2θ:
4.150 Å, 21.41°, rel. 6.2
2.934 Å, 30.46°, rel. 100.0
2.075 Å, 43.62°, rel. 27.5
1.694 Å, 54.14°, rel. 40.5
1.467 Å, 63.40°, rel. 17.3
1.312 Å, 71.95°, rel. 17.8
1.198 Å, 80.11°, rel. 5.8
1.109 Å, 88.07°, rel. 21.9

Atomic structure:
```
data_Ba3TmIr2O9
_cell_length_a 5.8669
_cell_length_b 5.8669
_cell_length_c 7.1923
_cell_angle_alpha 90.00
_cell_angle_beta 90.00
_cell_angle_gamma 120.00
_symmetry_space_group_name_H-M 'P 1'
_symmetry_Int_Tables_number 1
loop_
_symmetry_equiv_pos_as_xyz
'x,y,z'
loop_
_atom_site_label
_atom_site_type_symbol
_atom_site_fract_x
_atom_site_fract_y
_atom_site_fract_z
Ba1 Ba 0.0000 0.0000 0.0000
Ba2 Ba 0.3333 0.6667 0.6711
Ba3 Ba 0.6667 0.3333 0.3289
Tm1 Tm 0.0000 0.0000 0.5000
Ir1 Ir 0.3333 0.6667 0.1604
Ir2 Ir 0.6667 0.3333 0.8396
O1 O 0.0000 0.5000 0.0000
O2 O 0.1750 0.3501 0.3222
O3 O 0.1750 0.8250 0.3222
O4 O 0.3501 0.1750 0.6778
O5 O 0.5000 0.0000 0.0000
O6 O 0.5000 0.5000 0.0000
O7 O 0.6499 0.8250 0.3222
O8 O 0.8250 0.1750 0.6778
O9 O 0.8250 0.6499 0.6778
```

=====

Entry 5:
Theoretical XRD peak list of BaTcP2Ir for copper Kα, from a GGA-PBE-relaxed structure.
No peak broadening, texture or thermal motion is included.

Principal peaks in the range 10 to 90 degrees two-theta, in order of rising 2θ:
6.157 Å, 14.39°, rel. 42.8
3.883 Å, 22.90°, rel. 28.6
3.079 Å, 29.00°, rel. 34.3
2.898 Å, 30.86°, rel. 40.9
2.619 Å, 34.24°, rel. 100.0
2.046 Å, 44.27°, rel. 35.4
1.704 Å, 53.80°, rel. 24.8
1.673 Å, 54.87°, rel. 50.7

Atomic structure:
```
data_BaTcP2Ir
_cell_length_a 4.0920
_cell_length_b 4.0920
_cell_length_c 12.3143
_cell_angle_alpha 90.00
_cell_angle_beta 90.00
_cell_angle_gamma 90.00
_symmetry_space_group_name_H-M 'P 1'
_symmetry_Int_Tables_number 1
loop_
_symmetry_equiv_pos_as_xyz
'x,y,z'
loop_
_atom_site_label
_atom_site_type_symbol
_atom_site_fract_x
_atom_site_fract_y
_atom_site_fract_z
Ba1 Ba 0.0000 0.0000 0.0000
Ba2 Ba 0.5000 0.5000 0.5000
Tc1 Tc 0.0000 0.5000 0.2500
Tc2 Tc 0.5000 0.0000 0.7500
P1 P 0.0000 0.0000 0.3452
P2 P 0.0000 0.0000 0.6548
P3 P 0.5000 0.5000 0.1548
P4 P 0.5000 0.5000 0.8452
Ir1 Ir 0.0000 0.5000 0.7500
Ir2 Ir 0.5000 0.0000 0.2500
```

=====

Entry 6:
Theoretical XRD peak list of Ba2Sn4IrPd3 for copper Kα, from a GGA-PBE-relaxed structure.
No peak broadening, texture or thermal motion is included.

Principal peaks in the range 10 to 90 degrees two-theta, in order of rising 2θ:
2.918 Å, 30.63°, rel. 57.9
2.859 Å, 31.28°, rel. 100.0
2.355 Å, 38.22°, rel. 72.6
2.138 Å, 42.27°, rel. 37.1
2.016 Å, 44.96°, rel. 19.3
1.833 Å, 49.76°, rel. 29.9
1.665 Å, 55.16°, rel. 25.2
1.439 Å, 64.80°, rel. 25.5

Atomic structure:
```
data_Ba2Sn4IrPd3
_cell_length_a 4.7092
_cell_length_b 4.7092
_cell_length_c 11.1550
_cell_angle_alpha 90.00
_cell_angle_beta 90.00
_cell_angle_gamma 90.00
_symmetry_space_group_name_H-M 'P 1'
_symmetry_Int_Tables_number 1
loop_
_symmetry_equiv_pos_as_xyz
'x,y,z'
loop_
_atom_site_label
_atom_site_type_symbol
_atom_site_fract_x
_atom_site_fract_y
_atom_site_fract_z
Ba1 Ba 0.0000 0.5000 0.2469
Ba2 Ba 0.5000 0.0000 0.7531
Sn1 Sn 0.0000 0.0000 0.5000
Sn2 Sn 0.0000 0.5000 0.8816
Sn3 Sn 0.5000 0.0000 0.1184
Sn4 Sn 0.5000 0.5000 0.5000
Ir1 Ir 0.5000 0.5000 0.0000
Pd1 Pd 0.0000 0.0000 0.0000
Pd2 Pd 0.0000 0.5000 0.6317
Pd3 Pd 0.5000 0.0000 0.3683
```

=====

Entry 7:
Theoretical XRD peak list of Ba6IrPt2 for copper Kα, from a GGA-PBE-relaxed structure.
No peak broadening, texture or thermal motion is included.

Principal peaks in the range 10 to 90 degrees two-theta, in order of rising 2θ:
6.544 Å, 13.53°, rel. 71.7
3.496 Å, 25.48°, rel. 88.6
2.724 Å, 32.88°, rel. 100.0
2.279 Å, 39.54°, rel. 49.5
2.118 Å, 42.70°, rel. 22.1
1.748 Å, 52.34°, rel. 24.3
1.451 Å, 64.18°, rel. 22.7
1.387 Å, 67.53°, rel. 19.2

Atomic structure:
```
data_Ba6IrPt2
_cell_length_a 8.7998
_cell_length_b 8.7998
_cell_length_c 8.7998
_cell_angle_alpha 53.31
_cell_angle_beta 53.31
_cell_angle_gamma 53.31
_symmetry_space_group_name_H-M 'P 1'
_symmetry_Int_Tables_number 1
loop_
_symmetry_equiv_pos_as_xyz
'x,y,z'
loop_
_atom_site_label
_atom_site_type_symbol
_atom_site_fract_x
_atom_site_fract_y
_atom_site_fract_z
Ba1 Ba 0.1010 0.7232 0.4215
Ba2 Ba 0.2768 0.5785 0.8990
Ba3 Ba 0.4215 0.1010 0.7232
Ba4 Ba 0.5785 0.8990 0.2768
Ba5 Ba 0.7232 0.4215 0.1010
Ba6 Ba 0.8990 0.2768 0.5785
Ir1 Ir 0.5000 0.5000 0.5000
Pt1 Pt 0.3259 0.3259 0.3259
Pt2 Pt 0.6741 0.6741 0.6741
```

=====

Entry 8:
Theoretical XRD peak list of BaTcIr2Pt for copper Kα, from a GGA-PBE-relaxed structure.
No peak broadening, texture or thermal motion is included.

Principal peaks in the range 10 to 90 degrees two-theta, in order of rising 2θ:
4.786 Å, 18.54°, rel. 43.4
3.467 Å, 25.69°, rel. 35.6
2.855 Å, 31.33°, rel. 77.4
2.515 Å, 35.70°, rel. 100.0
2.393 Å, 37.59°, rel. 43.4
1.778 Å, 51.38°, rel. 35.6
1.734 Å, 52.81°, rel. 65.7
1.427 Å, 65.38°, rel. 34.7

Atomic structure:
```
data_BaTcIr2Pt
_cell_length_a 5.0302
_cell_length_b 5.0302
_cell_length_c 4.7855
_cell_angle_alpha 90.00
_cell_angle_beta 90.00
_cell_angle_gamma 90.00
_symmetry_space_group_name_H-M 'P 1'
_symmetry_Int_Tables_number 1
loop_
_symmetry_equiv_pos_as_xyz
'x,y,z'
loop_
_atom_site_label
_atom_site_type_symbol
_atom_site_fract_x
_atom_site_fract_y
_atom_site_fract_z
Ba1 Ba 0.0000 0.0000 0.0000
Tc1 Tc 0.5000 0.5000 0.0000
Ir1 Ir 0.0000 0.5000 0.5000
Ir2 Ir 0.5000 0.0000 0.5000
Pt1 Pt 0.5000 0.5000 0.5000
```

=====

Entry 9:
Theoretical XRD peak list of BaPuIr for copper Kα, from a GGA-PBE-relaxed structure.
No peak broadening, texture or thermal motion is included.

Principal peaks in the range 10 to 90 degrees two-theta, in order of rising 2θ:
8.021 Å, 11.03°, rel. 100.0
3.113 Å, 28.67°, rel. 57.5
3.072 Å, 29.07°, rel. 63.3
2.584 Å, 34.72°, rel. 90.0
2.389 Å, 37.66°, rel. 71.6
2.096 Å, 43.15°, rel. 27.6
1.886 Å, 48.26°, rel. 31.3
1.414 Å, 66.09°, rel. 28.9

Atomic structure:
```
data_BaPuIr
_cell_length_a 4.7773
_cell_length_b 4.7773
_cell_length_c 8.0212
_cell_angle_alpha 90.00
_cell_angle_beta 90.00
_cell_angle_gamma 90.00
_symmetry_space_group_name_H-M 'P 1'
_symmetry_Int_Tables_number 1
loop_
_symmetry_equiv_pos_as_xyz
'x,y,z'
loop_
_atom_site_label
_atom_site_type_symbol
_atom_site_fract_x
_atom_site_fract_y
_atom_site_fract_z
Ba1 Ba 0.2500 0.2500 0.1405
Ba2 Ba 0.7500 0.7500 0.8595
Pu1 Pu 0.2500 0.7500 0.5000
Pu2 Pu 0.7500 0.2500 0.5000
Ir1 Ir 0.2500 0.2500 0.6883
Ir2 Ir 0.7500 0.7500 0.3117
```